For K5In, DFT lattice parameters and positions (GGA-PBE) gives the theoretical PXRD pattern in this record (Cu Kα, 1.54184 Å).
Kinematic intensities with the Lorentz-polarization factor, no thermal factor.

Peak list (12 most intense, 10° ≤ 2θ ≤ 80°, by angle)
d (Å)	intensity
8.557	24
5.879	10
3.497	100
3.129	40
2.939	8
2.852	12
2.707	15
2.213	14
2.108	18
1.870	30
1.748	17
1.371	10

Structure:
Unit cell a=9.112 b=9.112 c=6.257 alpha=90.00 beta=90.00 gamma=139.82
Element x y z (fractional)
K: 0.000 0.000 0.000
K: 0.148 0.852 0.500
K: 0.353 0.647 0.000
K: 0.647 0.353 0.000
K: 0.852 0.148 0.500
In: 0.500 0.500 0.500


For K3In, DFT lattice parameters and positions (GGA-PBE) gives the theoretical PXRD pattern in this record (Cu Kα, 1.54184 Å).
Kinematic intensities with the Lorentz-polarization factor, no thermal factor.

Peak list (12 most intense, 10° ≤ 2θ ≤ 80°, by angle)
d (Å)	intensity
5.949	56
5.763	51
5.287	60
4.543	43
3.351	67
3.336	100
3.228	82
3.034	64
3.014	55
2.982	68
2.881	44
2.071	43

Structure:
Unit cell a=9.886 b=11.527 c=7.449 alpha=90.00 beta=90.00 gamma=90.00
Element x y z (fractional)
K: 0.025 0.250 0.102
K: 0.175 0.055 0.625
K: 0.175 0.445 0.625
K: 0.325 0.555 0.125
K: 0.325 0.945 0.125
K: 0.475 0.750 0.602
K: 0.525 0.250 0.398
K: 0.675 0.055 0.875
K: 0.675 0.445 0.875
K: 0.825 0.555 0.375
K: 0.825 0.945 0.375
K: 0.975 0.750 0.898
In: 0.120 0.750 0.416
In: 0.380 0.250 0.916
In: 0.620 0.750 0.084
In: 0.880 0.250 0.584


For KIn11, DFT lattice parameters and positions (GGA-PBE) gives the theoretical PXRD pattern in this record (Cu Kα, 1.54184 Å).
Kinematic intensities with the Lorentz-polarization factor, no thermal factor.

Peak list (12 most intense, 10° ≤ 2θ ≤ 80°, by angle)
d (Å)	intensity
7.106	18
6.480	19
3.311	14
2.950	55
2.898	38
2.767	19
2.545	35
2.479	100
2.394	29
1.683	21
1.580	22
1.536	14

Structure:
Unit cell a=10.101 b=10.101 c=10.101 alpha=100.19 beta=100.19 gamma=130.25
Element x y z (fractional)
K: 0.375 0.625 0.750
K: 0.625 0.375 0.250
In: 0.000 0.000 0.000
In: 0.000 0.000 0.500
In: 0.000 0.500 0.000
In: 0.124 0.549 0.330
In: 0.124 0.793 0.574
In: 0.125 0.875 0.250
In: 0.207 0.281 0.330
In: 0.207 0.876 0.926
In: 0.281 0.207 0.830
In: 0.281 0.451 0.074
In: 0.451 0.281 0.574
In: 0.451 0.876 0.170
In: 0.500 0.000 0.500
In: 0.549 0.124 0.830
In: 0.549 0.719 0.426
In: 0.719 0.549 0.926
In: 0.719 0.793 0.170
In: 0.793 0.124 0.074
In: 0.793 0.719 0.670
In: 0.875 0.125 0.750
In: 0.876 0.207 0.426
In: 0.876 0.451 0.670